(1)
# LaSN
Simulated powder diffraction line list, Cu Kα (λ = 1.5418 Å). Input: a DFT-relaxed cell (GGA-PBE, Alexandria).
Kinematic intensities with the Lorentz-polarization factor, no thermal factor.

Top 6 peaks for 2θ from 10° to 90°, low angle first:
12.70 deg, intensity 725; 17.74 deg, intensity 980; 23.36 deg, intensity 274; 25.38 deg, intensity 1000; 33.46 deg, intensity 502; 42.61 deg, intensity 311

Structure:
```
LaSN
1.0
3.8088 -3.7666 0.0000
3.8088 3.7666 0.0000
-3.7941 0.0000 6.9698
La S N
2 2 2
Direct
0.1702 0.1702 0.3401
0.8298 0.8298 0.6599
0.2501 0.7499 0.5000
0.7499 0.2501 0.5000
0.0831 0.9169 0.0000
0.9169 0.0831 0.0000
```

(2)
# LaTaSN2
Simulated powder diffraction line list, Cu Kα (λ = 1.5418 Å). Input: a DFT-relaxed cell (GGA-PBE, Alexandria).
Kinematic intensities with the Lorentz-polarization factor, no thermal factor.

Top 6 peaks for 2θ from 10° to 90°, low angle first:
15.23 deg, intensity 316; 27.27 deg, intensity 1000; 32.00 deg, intensity 496; 38.41 deg, intensity 492; 54.20 deg, intensity 305; 61.34 deg, intensity 248

Structure:
```
LaTaSN2
1.0
3.9549 0.0000 0.0000
0.0000 3.9549 0.0000
0.0000 0.0000 5.8182
La Ta S N
1 1 1 2
Direct
0.0000 0.0000 0.0000
0.5000 0.5000 0.3444
0.5000 0.5000 0.7519
0.0000 0.5000 0.2455
0.5000 0.0000 0.2455
```